No. 1
BaCrCu3Se4: calculated X-ray diffraction stick pattern (Cu Kα), based on a DFT-relaxed cell (GGA-PBE, the Materials Project).
Lines closer than 0.1° are merged.

Peak list (10 most intense, 10° ≤ 2θ ≤ 90°, by angle)
| two_theta | intensity |
| --- | --- |
| 20.34 | 24 |
| 24.98 | 100 |
| 35.62 | 17 |
| 41.37 | 100 |
| 48.94 | 42 |
| 55.71 | 11 |
| 59.94 | 14 |
| 63.99 | 10 |
| 65.96 | 13 |
| 75.44 | 25 |

Atomic structure:
Cell lengths 6.1732, 6.1732, 6.1732 Å; angles 90.00, 90.00, 90.00 degrees
Fractional positions:
1 Ba 0.0000 0.0000 0.0000
2 Cr 0.5000 0.5000 0.5000
3 Cu 0.0000 0.5000 0.5000
4 Cu 0.5000 0.0000 0.5000
5 Cu 0.5000 0.5000 0.0000
6 Se 0.2803 0.2803 0.7197
7 Se 0.2803 0.7197 0.2803
8 Se 0.7197 0.2803 0.2803
9 Se 0.7197 0.7197 0.7197

No. 2
TcN: calculated X-ray diffraction stick pattern (Cu Kα), based on a DFT-relaxed cell (GGA-PBE, the Materials Project).
Lines closer than 0.1° are merged.

Peak list (5 most intense, 10° ≤ 2θ ≤ 90°, by angle)
| two_theta | intensity |
| --- | --- |
| 35.97 | 100 |
| 41.77 | 83 |
| 60.55 | 52 |
| 72.48 | 40 |
| 76.27 | 17 |

Atomic structure:
Cell lengths 3.0582, 3.0582, 3.0582 Å; angles 60.00, 60.00, 60.00 degrees
Fractional positions:
1 Tc 0.0000 0.0000 0.0000
2 N 0.5000 0.5000 0.5000